Theoretical powder XRD pattern of Sc2TiCo for λ = 1.5418 Å (Cu Kα), from a cell relaxed with PBE.

Crystal structure
```
4
Lattice="3.1131 0.0000 0.0000 0.0000 3.1131 0.0000 0.0000 0.0000 7.5608" Properties=species:S:1:pos:R:3 pbc="T T T"
Sc 0.0000 0.0000 0.0000
Sc 1.5565 1.5565 2.5600
Ti 1.5565 1.5565 5.4938
Co 0.0000 0.0000 4.1907
```

Main lines, by intensity (5 to 70 degrees two-theta):
2θ 37.4, rel. 100
2θ 41.0, rel. 51
2θ 11.7, rel. 42
2θ 46.4, rel. 23
2θ 59.4, rel. 16
2θ 42.8, rel. 7
2θ 35.6, rel. 6
2θ 65.0, rel. 6